Entry 1:
Theoretical X-ray powder pattern
Compound: BaNaPrMnO6
Radiation: Cu Ka
Structure: the PBE+U geometry in the Materials Project
Intensities are scaled so that the largest is 100.

```
data_BaNaPrMnO6
_cell_length_a 8.4346
_cell_length_b 8.4610
_cell_length_c 8.4783
_cell_angle_alpha 90.00
_cell_angle_beta 90.00
_cell_angle_gamma 90.00
_symmetry_space_group_name_H-M 'P n n n'
_symmetry_Int_Tables_number 48
loop_
_symmetry_equiv_pos_as_xyz
'x,y,z'
'-x,-y,-z'
'-x+1/2,-y+1/2,z'
'x+1/2,y+1/2,-z'
'x,-y+1/2,-z+1/2'
'-x,y+1/2,z+1/2'
'-x+1/2,y,-z+1/2'
'x+1/2,-y,z+1/2'
loop_
_atom_site_label
_atom_site_type_symbol
_atom_site_fract_x
_atom_site_fract_y
_atom_site_fract_z
_atom_site_occupancy
Ba1 Ba 0.2500 0.2500 0.2500 1
Ba2 Ba 0.2500 0.2500 0.7500 1
Na1 Na 0.2500 0.7500 0.2500 1
Na2 Na 0.2500 0.7500 0.7500 1
Pr1 Pr 0.0000 0.0000 0.0000 1
Mn1 Mn 0.0000 0.0000 0.5000 1
O1 O 0.0167 0.7241 0.0260 1
O2 O 0.0237 0.5240 0.7754 1
O3 O 0.2246 0.0280 0.4821 1
```

Peak list (12 most intense, 5 to 70 degrees two-theta, low angle first)
(1 1 0), 2θ 14.8, 5.973 Å, I = 20; (1 1 1), 2θ 18.2, 4.883 Å, I = 9; (1 1 2), 2θ 25.8, 3.457 Å, I = 10; (0 2 2), 2θ 29.9, 2.990 Å, I = 100; (1 3 1), 2θ 35.2, 2.553 Å, I = 7; (1 3 2), 2θ 39.9, 2.262 Å, I = 5; (0 0 4), 2θ 42.7, 2.117 Å, I = 22; (4 0 0), 2θ 42.9, 2.109 Å, I = 11; (2 4 2), 2θ 53.0, 1.728 Å, I = 27; (4 2 2), 2θ 53.1, 1.724 Å, I = 13; (0 4 4), 2θ 62.0, 1.497 Å, I = 6; (4 0 4), 2θ 62.1, 1.494 Å, I = 13


Entry 2:
Theoretical X-ray powder pattern
Compound: Ba6Na2Mn2Ru2O17
Radiation: Cu Ka
Structure: the PBE+U geometry in the Materials Project
Intensities are scaled so that the largest is 100.

```
data_Ba6Na2Mn2Ru2O17
_cell_length_a 5.9206
_cell_length_b 5.9206
_cell_length_c 30.1122
_cell_angle_alpha 90.00
_cell_angle_beta 90.00
_cell_angle_gamma 120.00
_symmetry_space_group_name_H-M 'P 63/m m c'
_symmetry_Int_Tables_number 194
_symmetry_space_group_name_Hall '-P 6c 2c'
loop_
_atom_site_label
_atom_site_type_symbol
_atom_site_fract_x
_atom_site_fract_y
_atom_site_fract_z
_atom_site_occupancy
Ba1 Ba 0.0000 0.0000 0.0000 1
Ba2 Ba 0.0000 0.0000 0.2500 1
Ba3 Ba 0.3333 0.6667 0.0919 1
Ba4 Ba 0.3333 0.6667 0.6797 1
Na1 Na 0.0000 0.0000 0.1243 1
Mn1 Mn 0.3333 0.6667 0.5523 1
Ru1 Ru 0.3333 0.6667 0.2037 1
O1 O 0.0275 0.5137 0.2500 1
O2 O 0.1765 0.3530 0.5731 1
O3 O 0.1768 0.3536 0.1699 1
O4 O 0.3333 0.6667 0.0039 1
```

Peak list (12 most intense, 5 to 70 degrees two-theta, low angle first)
(0 0 2), 2θ 5.9, 15.056 Å, I = 25; (1 0 4), 2θ 21.0, 4.238 Å, I = 21; (1 0 7), 2θ 27.1, 3.296 Å, I = 29; (1 0 8), 2θ 29.4, 3.034 Å, I = 46; (1 1 0), 2θ 30.2, 2.960 Å, I = 100; (2 0 7), 2θ 41.0, 2.202 Å, I = 16; (2 0 8), 2θ 42.7, 2.119 Å, I = 27; (1 1 10), 2θ 42.8, 2.111 Å, I = 13; (1 0 15), 2θ 48.7, 1.870 Å, I = 14; (2 1 8), 2θ 53.2, 1.723 Å, I = 16; (3 0 0), 2θ 53.6, 1.709 Å, I = 19; (2 2 0), 2θ 62.8, 1.480 Å, I = 18


Entry 3:
Theoretical X-ray powder pattern
Compound: BaNaSrMnO6
Radiation: Cu Ka
Structure: the PBE+U geometry in the Materials Project
Intensities are scaled so that the largest is 100.

```
data_BaNaSrMnO6
_cell_length_a 8.2523
_cell_length_b 8.2523
_cell_length_c 8.2523
_cell_angle_alpha 90.00
_cell_angle_beta 90.00
_cell_angle_gamma 90.00
_symmetry_space_group_name_H-M 'F -4 3 m'
_symmetry_Int_Tables_number 216
_symmetry_space_group_name_Hall 'F -4 2 3'
loop_
_atom_site_label
_atom_site_type_symbol
_atom_site_fract_x
_atom_site_fract_y
_atom_site_fract_z
_atom_site_occupancy
Ba1 Ba 0.0000 0.0000 0.0000 1
Na1 Na 0.2500 0.2500 0.2500 1
Sr1 Sr 0.0000 0.0000 0.5000 1
Mn1 Mn 0.2500 0.2500 0.7500 1
O1 O 0.0211 0.2500 0.7500 1
```

Peak list (12 most intense, 5 to 70 degrees two-theta, low angle first)
(1 1 1), 2θ 18.6, 4.764 Å, I = 13; (2 0 0), 2θ 21.5, 4.126 Å, I = 16; (2 2 0), 2θ 30.6, 2.918 Å, I = 100; (3 1 1), 2θ 36.1, 2.488 Å, I = 5; (2 2 2), 2θ 37.8, 2.382 Å, I = 29; (4 0 0), 2θ 43.9, 2.063 Å, I = 38; (4 2 0), 2θ 49.4, 1.845 Å, I = 9; (4 2 2), 2θ 54.5, 1.684 Å, I = 38; (5 1 1), 2θ 58.1, 1.588 Å, I = 2; (4 4 0), 2θ 63.8, 1.459 Å, I = 22; (5 3 1), 2θ 67.1, 1.395 Å, I = 2; (4 4 2), 2θ 68.2, 1.375 Å, I = 5


Entry 4:
Theoretical X-ray powder pattern
Compound: BaMnNb4O12
Radiation: Cu Ka
Structure: the PBE+U geometry in the Materials Project
Intensities are scaled so that the largest is 100.

```
data_BaMnNb4O12
_cell_length_a 7.9981
_cell_length_b 7.8289
_cell_length_c 8.0305
_cell_angle_alpha 90.00
_cell_angle_beta 90.00
_cell_angle_gamma 90.00
_symmetry_space_group_name_H-M 'A m m 2'
_symmetry_Int_Tables_number 38
loop_
_symmetry_equiv_pos_as_xyz
'x,y,z'
'-x,-y,z'
'-x,y,z'
'x,-y,z'
'x,y+1/2,z+1/2'
'-x,-y+1/2,z+1/2'
'-x,y+1/2,z+1/2'
'x,-y+1/2,z+1/2'
loop_
_atom_site_label
_atom_site_type_symbol
_atom_site_fract_x
_atom_site_fract_y
_atom_site_fract_z
_atom_site_occupancy
Ba1 Ba 0.0000 0.0000 0.0000 1
Mn1 Mn 0.5000 0.0000 0.4569 1
Nb1 Nb 0.2564 0.2458 0.7397 1
O1 O 0.0000 0.2156 0.7227 1
O2 O 0.2209 0.0000 0.2572 1
O3 O 0.2595 0.2080 0.9707 1
O4 O 0.3116 0.0000 0.6637 1
O5 O 0.5000 0.1945 0.2512 1
```

Peak list (12 most intense, 5 to 70 degrees two-theta, low angle first)
(1 1 1), 2θ 19.3, 4.591 Å, I = 49; (0 0 2), 2θ 22.2, 4.007 Å, I = 32; (0 2 0), 2θ 22.7, 3.914 Å, I = 14; (2 0 2), 2θ 31.6, 2.833 Å, I = 44; (2 2 0), 2θ 32.0, 2.800 Å, I = 100; (1 3 1), 2θ 38.0, 2.370 Å, I = 10; (0 0 4), 2θ 45.2, 2.008 Å, I = 16; (4 0 0), 2θ 45.4, 2.000 Å, I = 18; (0 4 0), 2θ 46.4, 1.957 Å, I = 15; (2 2 4), 2θ 56.4, 1.631 Å, I = 20; (4 2 2), 2θ 56.5, 1.628 Å, I = 21; (2 4 2), 2θ 57.2, 1.610 Å, I = 21


Entry 5:
Theoretical X-ray powder pattern
Compound: Ba3MnNb2O9
Radiation: Cu Ka
Structure: the PBE+U geometry in the Materials Project
Intensities are scaled so that the largest is 100.

```
data_Ba3MnNb2O9
_cell_length_a 5.9100
_cell_length_b 5.9100
_cell_length_c 7.2628
_cell_angle_alpha 90.00
_cell_angle_beta 90.00
_cell_angle_gamma 120.00
_symmetry_space_group_name_H-M 'P -3 m 1'
_symmetry_Int_Tables_number 164
_symmetry_space_group_name_Hall '-P 3 2"'
loop_
_atom_site_label
_atom_site_type_symbol
_atom_site_fract_x
_atom_site_fract_y
_atom_site_fract_z
_atom_site_occupancy
Ba1 Ba 0.0000 0.0000 0.0000 1
Ba2 Ba 0.3333 0.6667 0.6670 1
Mn1 Mn 0.0000 0.0000 0.5000 1
Nb1 Nb 0.3333 0.6667 0.1752 1
O1 O 0.0000 0.5000 0.0000 1
O2 O 0.1735 0.3469 0.3217 1
```

Peak list (12 most intense, 5 to 70 degrees two-theta, low angle first)
(1 0 0), 2θ 17.3, 5.118 Å, I = 1; (1 0 1), 2θ 21.2, 4.184 Å, I = 4; (1 1 0), 2θ 30.2, 2.958 Å, I = 100; (0 0 3), 2θ 37.1, 2.421 Å, I = 2; (0 2 1), 2θ 37.3, 2.414 Å, I = 7; (2 0 2), 2θ 43.3, 2.092 Å, I = 32; (1 1 3), 2θ 48.7, 1.871 Å, I = 2; (1 0 4), 2θ 53.6, 1.711 Å, I = 10; (3 0 0), 2θ 53.7, 1.707 Å, I = 30; (0 2 4), 2θ 62.7, 1.481 Å, I = 10; (2 2 0), 2θ 62.9, 1.477 Å, I = 10; (0 3 3), 2θ 67.2, 1.394 Å, I = 1